RbCa2AlF8: theoretical powder diffractogram (Cu Kα (λ = 1.5418 Å)), based on a cell relaxed with GGA-PBE.

The 8 most intense peaks (2θ = 10–90°), by angle:
| 2θ (°) | I/Imax | hkl |
| --- | --- | --- |
| 24.3 | 100 | 1 1 0 |
| 25.3 | 77 | 1 -1 0 |
| 30.0 | 52 | 1 0 2 |
| 30.2 | 52 | 1 0 -2 |
| 35.3 | 23 | 1 -1 2 |
| 46.4 | 31 | 2 1 2 |
| 47.7 | 39 | 2 -1 2 |
| 49.8 | 33 | 2 2 0 |

Structure:
```
data_RbCa2AlF8
_cell_length_a 5.065
_cell_length_b 5.085
_cell_length_c 7.320
_cell_angle_alpha 89.68
_cell_angle_beta 89.49
_cell_angle_gamma 87.68
_symmetry_space_group_name_H-M 'P -1'
_symmetry_Int_Tables_number 2
_symmetry_space_group_name_Hall '-P 1'
loop_
_atom_site_label
_atom_site_fract_x
_atom_site_fract_y
_atom_site_fract_z
Rb1 0.000 0.000 0.000
Ca1 0.499 0.499 0.259
Al1 0.000 0.000 0.500
F1 0.195 0.826 0.674
F2 0.200 0.831 0.325
F3 0.250 0.274 0.501
F4 0.284 0.400 0.001
```

KIn7Hg12: theoretical powder diffractogram (Cu Kα (λ = 1.5418 Å)), based on a cell relaxed with GGA-PBE.

The 8 most intense peaks (2θ = 10–90°), by angle:
| 2θ (°) | I/Imax | hkl |
| --- | --- | --- |
| 26.4 | 41 | 1 3 1 |
| 28.9 | 28 | 4 0 1 |
| 31.2 | 50 | 3 2 1 |
| 32.5 | 100 | 0 0 3 |
| 34.6 | 55 | 0 4 2 |
| 34.9 | 41 | 3 3 0 |
| 36.6 | 39 | 2 3 2 |
| 52.9 | 32 | 6 0 3 |

Structure:
```
data_KIn7Hg12
_cell_length_a 15.4119
_cell_length_b 15.4119
_cell_length_c 8.2460
_cell_angle_alpha 90.00
_cell_angle_beta 90.00
_cell_angle_gamma 120.00
_symmetry_space_group_name_H-M 'R -3 m'
_symmetry_Int_Tables_number 166
_symmetry_space_group_name_Hall '-R 3 2"'
loop_
_atom_site_label
_atom_site_fract_x
_atom_site_fract_y
_atom_site_fract_z
K1 0.0000 0.0000 0.0000
In1 0.0000 0.0000 0.5000
In2 0.0936 0.5468 0.3434
Hg1 0.0000 0.2408 0.0000
Hg2 0.1103 0.2206 0.3067
```

ErMgSc2Rh4: theoretical powder diffractogram (Cu Kα (λ = 1.5418 Å)), based on a cell relaxed with GGA-PBE.

The 8 most intense peaks (2θ = 10–90°), by angle:
| 2θ (°) | I/Imax | hkl |
| --- | --- | --- |
| 11.8 | 18 | 0 0 3 |
| 22.8 | 16 | 1 0 1 |
| 30.0 | 12 | 0 1 5 |
| 39.2 | 100 | 0 1 8 |
| 39.3 | 100 | 1 1 0 |
| 56.8 | 33 | 2 0 8 |
| 71.0 | 16 | 1 0 16 |
| 71.3 | 49 | 3 0 0 |

Structure:
```
data_ErMgSc2Rh4
_cell_length_a 4.5809
_cell_length_b 4.5809
_cell_length_c 22.5425
_cell_angle_alpha 90.00
_cell_angle_beta 90.00
_cell_angle_gamma 120.00
_symmetry_space_group_name_H-M 'R -3 m'
_symmetry_Int_Tables_number 166
_symmetry_space_group_name_Hall '-R 3 2"'
loop_
_atom_site_label
_atom_site_fract_x
_atom_site_fract_y
_atom_site_fract_z
Er1 0.0000 0.0000 0.0000
Mg1 0.0000 0.0000 0.5000
Sc1 0.0000 0.0000 0.2444
Rh1 0.0000 0.0000 0.1255
Rh2 0.0000 0.0000 0.3770
```

La5Pr3Er2: theoretical powder diffractogram (Cu Kα (λ = 1.5418 Å)), based on a cell relaxed with GGA-PBE.

The 8 most intense peaks (2θ = 10–90°), by angle:
| 2θ (°) | I/Imax | hkl |
| --- | --- | --- |
| 28.8 | 96 | 2 2 1 |
| 30.6 | 100 | 2 4 -2 |
| 31.5 | 21 | 0 4 2 |
| 32.4 | 48 | 4 0 -2 |
| 33.3 | 19 | 0 2 3 |
| 35.1 | 26 | 2 0 2 |
| 48.1 | 23 | 0 6 3 |
| 61.3 | 28 | 2 4 -6 |

Structure:
```
data_La5Pr3Er2
_cell_length_a 11.068
_cell_length_b 15.021
_cell_length_c 10.258
_cell_angle_alpha 90.00
_cell_angle_beta 122.47
_cell_angle_gamma 90.00
_symmetry_space_group_name_H-M 'C 1 2/c 1'
_symmetry_Int_Tables_number 15
_symmetry_space_group_name_Hall '-C 2yc'
loop_
_atom_site_label
_atom_site_fract_x
_atom_site_fract_y
_atom_site_fract_z
La1 0.000 0.022 0.250
La2 0.000 0.230 0.250
La3 0.000 0.276 0.750
La4 0.243 0.376 0.241
Pr1 0.000 0.482 0.750
Pr2 0.152 0.125 0.058
Er1 0.156 0.376 0.559
```

Li2CrFeAs2: theoretical powder diffractogram (Cu Kα (λ = 1.5418 Å)), based on a cell relaxed with GGA-PBE.

The 8 most intense peaks (2θ = 10–90°), by angle:
| 2θ (°) | I/Imax | hkl |
| --- | --- | --- |
| 14.5 | 74 | 0 0 1 |
| 27.0 | 100 | 1 0 1 |
| 44.1 | 81 | 1 1 2 |
| 46.1 | 37 | 2 0 0 |
| 50.6 | 15 | 1 0 3 |
| 54.3 | 28 | 2 1 1 |
| 56.1 | 14 | 1 1 3 |
| 84.0 | 25 | 3 1 2 |

Structure:
```
data_Li2CrFeAs2
_cell_length_a 3.935
_cell_length_b 3.935
_cell_length_c 6.091
_cell_angle_alpha 90.00
_cell_angle_beta 90.00
_cell_angle_gamma 90.00
_symmetry_space_group_name_H-M 'P -4 m 2'
_symmetry_Int_Tables_number 115
_symmetry_space_group_name_Hall 'P -4 -2'
loop_
_atom_site_label
_atom_site_fract_x
_atom_site_fract_y
_atom_site_fract_z
Li1 0.000 0.000 0.000
Li2 0.500 0.500 0.000
Cr1 0.000 0.000 0.500
Fe1 0.500 0.500 0.500
As1 0.000 0.500 0.273
```

HoPtCl: theoretical powder diffractogram (Cu Kα (λ = 1.5418 Å)), based on a cell relaxed with GGA-PBE.

The 8 most intense peaks (2θ = 10–90°), by angle:
| 2θ (°) | I/Imax | hkl |
| --- | --- | --- |
| 25.8 | 47 | 3 1 0 |
| 34.3 | 38 | 3 1 -2 |
| 35.5 | 68 | 3 1 2 |
| 38.0 | 100 | 5 1 -2 |
| 39.8 | 94 | 5 1 2 |
| 42.6 | 33 | 10 0 0 |
| 43.3 | 48 | 7 1 -2 |
| 45.9 | 36 | 0 2 0 |

Structure:
```
data_HoPtCl
_cell_length_a 21.283
_cell_length_b 3.958
_cell_length_c 7.705
_cell_angle_alpha 90.00
_cell_angle_beta 93.86
_cell_angle_gamma 90.00
_symmetry_space_group_name_H-M 'C 1 2/m 1'
_symmetry_Int_Tables_number 12
_symmetry_space_group_name_Hall '-C 2y'
loop_
_atom_site_label
_atom_site_fract_x
_atom_site_fract_y
_atom_site_fract_z
Ho1 0.153 0.000 0.099
Ho2 0.157 0.000 0.615
Pt1 0.245 0.500 0.123
Pt2 0.250 0.000 0.374
Cl1 0.070 0.000 0.345
Cl2 0.090 0.500 0.849
```

Pm2Ho5TmSc: theoretical powder diffractogram (Cu Kα (λ = 1.5418 Å)), based on a cell relaxed with GGA-PBE.

The 8 most intense peaks (2θ = 10–90°), by angle:
| 2θ (°) | I/Imax | hkl |
| --- | --- | --- |
| 29.1 | 62 | 2 1 3 |
| 30.0 | 52 | 2 2 0 |
| 31.0 | 100 | 2 0 4 |
| 33.7 | 27 | 3 1 0 |
| 39.0 | 18 | 3 2 1 |
| 47.8 | 15 | 4 1 3 |
| 54.0 | 22 | 4 2 4 |
| 55.8 | 13 | 2 2 8 |

Structure:
```
data_Pm2Ho5TmSc
_cell_length_a 8.414
_cell_length_b 8.414
_cell_length_c 15.831
_cell_angle_alpha 90.00
_cell_angle_beta 90.00
_cell_angle_gamma 90.00
_symmetry_space_group_name_H-M 'I 4/m c m'
_symmetry_Int_Tables_number 140
_symmetry_space_group_name_Hall '-I 4 2c'
loop_
_atom_site_label
_atom_site_fract_x
_atom_site_fract_y
_atom_site_fract_z
Pm1 0.120 0.380 0.000
Ho1 0.000 0.000 0.000
Ho2 0.212 0.288 0.356
Tm1 0.000 0.000 0.250
Sc1 0.000 0.500 0.250
```

LaRh2Cl: theoretical powder diffractogram (Cu Kα (λ = 1.5418 Å)), based on a cell relaxed with GGA-PBE.

The 8 most intense peaks (2θ = 10–90°), by angle:
| 2θ (°) | I/Imax | hkl |
| --- | --- | --- |
| 22.7 | 9 | 1 1 1 |
| 26.3 | 9 | 2 0 0 |
| 37.5 | 100 | 2 2 0 |
| 44.3 | 5 | 3 1 1 |
| 54.1 | 17 | 4 0 0 |
| 61.1 | 4 | 4 2 0 |
| 67.7 | 34 | 4 2 2 |
| 80.1 | 11 | 4 4 0 |

Structure:
```
data_LaRh2Cl
_cell_length_a 6.780
_cell_length_b 6.780
_cell_length_c 6.780
_cell_angle_alpha 90.00
_cell_angle_beta 90.00
_cell_angle_gamma 90.00
_symmetry_space_group_name_H-M 'F -4 3 m'
_symmetry_Int_Tables_number 216
_symmetry_space_group_name_Hall 'F -4 2 3'
loop_
_atom_site_label
_atom_site_fract_x
_atom_site_fract_y
_atom_site_fract_z
La1 0.000 0.000 0.000
Rh1 0.000 0.000 0.500
Rh2 0.250 0.250 0.250
Cl1 0.250 0.250 0.750
```

Copy entry 1 word for word.
RbCa2AlF8: theoretical powder diffractogram (Cu Kα (λ = 1.5418 Å)), based on a cell relaxed with GGA-PBE.

The 8 most intense peaks (2θ = 10–90°), by angle:
| 2θ (°) | I/Imax | hkl |
| --- | --- | --- |
| 24.3 | 100 | 1 1 0 |
| 25.3 | 77 | 1 -1 0 |
| 30.0 | 52 | 1 0 2 |
| 30.2 | 52 | 1 0 -2 |
| 35.3 | 23 | 1 -1 2 |
| 46.4 | 31 | 2 1 2 |
| 47.7 | 39 | 2 -1 2 |
| 49.8 | 33 | 2 2 0 |

Structure:
```
data_RbCa2AlF8
_cell_length_a 5.065
_cell_length_b 5.085
_cell_length_c 7.320
_cell_angle_alpha 89.68
_cell_angle_beta 89.49
_cell_angle_gamma 87.68
_symmetry_space_group_name_H-M 'P -1'
_symmetry_Int_Tables_number 2
_symmetry_space_group_name_Hall '-P 1'
loop_
_atom_site_label
_atom_site_fract_x
_atom_site_fract_y
_atom_site_fract_z
Rb1 0.000 0.000 0.000
Ca1 0.499 0.499 0.259
Al1 0.000 0.000 0.500
F1 0.195 0.826 0.674
F2 0.200 0.831 0.325
F3 0.250 0.274 0.501
F4 0.284 0.400 0.001
```